Structure and computed XRD peak list of Na2SmZnBi2 (DFT lattice parameters and positions (GGA-PBE); Cu Kα (weighted mean of Kα1 and Kα2)).
Kinematic intensities with the Lorentz-polarization factor, no thermal factor.

Peak list (6 most intense, 10 to 90 degrees two-theta, in order of rising 2θ)
22.38°, intensity 38; 23.82°, intensity 100; 30.58°, intensity 40; 31.69°, intensity 77; 34.10°, intensity 76; 37.04°, intensity 37

Atomic structure:
a b c (Å): 4.854 9.382 7.474
angles (deg): 90.00 90.00 90.00
Space group Pmc2_1 (No. 26)
Symmetry-distinct sites (fractional):
1 Na 0.000 0.059 0.000 (multiplicity 2)
2 Na 0.500 0.146 0.306 (multiplicity 2)
3 Sm 0.500 0.484 0.990 (multiplicity 2)
4 Zn 0.000 0.337 0.656 (multiplicity 2)
5 Bi 0.000 0.356 0.247 (multiplicity 2)
6 Bi 0.500 0.192 0.738 (multiplicity 2)